1.
Structure and simulated powder diffraction line list of TbTm3Se6 (a cell relaxed with GGA-PBE; Cu Kα X-rays).

Crystal structure
a = 11.480 Å, b = 4.063 Å, c = 11.749 Å
α = 90.00°, β = 109.22°, γ = 90.00°
Fractional coordinates of all 20 atoms:
Tb 0.045 0.250 0.194
Tb 0.955 0.750 0.806
Tm 0.159 0.250 0.584
Tm 0.317 0.750 0.999
Tm 0.434 0.250 0.333
Tm 0.566 0.750 0.667
Tm 0.683 0.250 0.001
Tm 0.841 0.750 0.416
Se 0.082 0.750 0.403
Se 0.113 0.250 0.965
Se 0.194 0.750 0.750
Se 0.256 0.750 0.224
Se 0.395 0.250 0.561
Se 0.479 0.250 0.115
Se 0.521 0.750 0.885
Se 0.605 0.750 0.439
Se 0.744 0.250 0.776
Se 0.806 0.250 0.250
Se 0.887 0.750 0.035
Se 0.918 0.250 0.597

Top 12 peaks for 10° ≤ 2θ ≤ 80°, sorted by position:
| 2θ/deg | intensity |
| --- | --- |
| 22.71 | 52 |
| 23.26 | 80 |
| 25.62 | 57 |
| 30.13 | 100 |
| 31.01 | 47 |
| 32.75 | 37 |
| 33.18 | 76 |
| 40.77 | 77 |
| 42.49 | 48 |
| 44.29 | 33 |
| 44.63 | 99 |
| 45.18 | 38 |



2.
Structure and simulated powder diffraction line list of TbTm2Se4 (a cell relaxed with GGA-PBE; Cu Kα X-rays).

Crystal structure
a = 8.051 Å, b = 8.051 Å, c = 8.051 Å
α = 119.73°, β = 119.14°, γ = 90.98°
Fractional coordinates of all 14 atoms:
Tb 0.000 0.000 0.000
Tb 0.500 0.000 0.500
Tm 0.000 0.500 0.500
Tm 0.500 0.000 0.000
Tm 0.500 0.500 0.000
Tm 0.500 0.500 0.500
Se 0.246 0.250 0.504
Se 0.246 0.742 0.996
Se 0.254 0.748 0.506
Se 0.258 0.252 0.006
Se 0.742 0.748 0.994
Se 0.746 0.252 0.494
Se 0.754 0.258 0.004
Se 0.754 0.750 0.496

Top 12 peaks for 10° ≤ 2θ ≤ 80°, sorted by position:
| 2θ/deg | intensity |
| --- | --- |
| 13.39 | 32 |
| 25.84 | 12 |
| 31.16 | 100 |
| 31.71 | 48 |
| 44.43 | 19 |
| 44.85 | 18 |
| 45.05 | 72 |
| 55.61 | 19 |
| 55.96 | 19 |
| 64.97 | 12 |
| 74.11 | 25 |
| 75.00 | 16 |



3.
Structure and simulated powder diffraction line list of TbTm2Se3 (a cell relaxed with GGA-PBE; Cu Kα X-rays).

Crystal structure
a = 6.827 Å, b = 3.934 Å, c = 10.753 Å
α = 90.00°, β = 102.26°, γ = 90.00°
Fractional coordinates of all 12 atoms:
Tb 0.025 0.250 0.330
Tb 0.975 0.750 0.670
Tm 0.248 0.250 0.996
Tm 0.473 0.250 0.670
Tm 0.527 0.750 0.330
Tm 0.752 0.750 0.004
Se 0.141 0.750 0.159
Se 0.257 0.750 0.501
Se 0.369 0.750 0.840
Se 0.631 0.250 0.160
Se 0.743 0.250 0.499
Se 0.859 0.250 0.841

Top 12 peaks for 10° ≤ 2θ ≤ 80°, sorted by position:
| 2θ/deg | intensity |
| --- | --- |
| 25.43 | 14 |
| 28.52 | 60 |
| 29.78 | 100 |
| 32.94 | 22 |
| 34.79 | 60 |
| 38.90 | 32 |
| 45.92 | 35 |
| 46.10 | 71 |
| 48.44 | 13 |
| 52.23 | 16 |
| 55.85 | 17 |
| 72.19 | 36 |



4.
Structure and simulated powder diffraction line list of Tb3U2Se6 (a cell relaxed with GGA-PBE; Cu Kα X-rays).

Crystal structure
a = 20.346 Å, b = 20.346 Å, c = 20.346 Å
α = 11.51°, β = 11.51°, γ = 11.51°
Fractional coordinates of all 11 atoms:
Tb 0.000 0.000 0.000
Tb 0.277 0.277 0.277
Tb 0.723 0.723 0.723
U 0.445 0.445 0.445
U 0.555 0.555 0.555
Se 0.083 0.083 0.083
Se 0.196 0.196 0.196
Se 0.361 0.361 0.361
Se 0.639 0.639 0.639
Se 0.804 0.804 0.804
Se 0.917 0.917 0.917

Top 12 peaks for 10° ≤ 2θ ≤ 80°, sorted by position:
| 2θ/deg | intensity |
| --- | --- |
| 13.14 | 15 |
| 25.89 | 8 |
| 27.26 | 13 |
| 30.04 | 100 |
| 32.71 | 27 |
| 35.77 | 9 |
| 41.56 | 13 |
| 44.40 | 48 |
| 45.36 | 36 |
| 54.53 | 27 |
| 65.35 | 11 |
| 72.84 | 38 |



5.
Structure and simulated powder diffraction line list of TbU4Se7 (a cell relaxed with GGA-PBE; Cu Kα X-rays).

Crystal structure
a = 4.046 Å, b = 4.046 Å, c = 23.980 Å
α = 90.00°, β = 90.00°, γ = 120.00°
Fractional coordinates of all 12 atoms:
Tb 0.000 0.000 0.000
U 0.333 0.667 0.144
U 0.333 0.667 0.428
U 0.667 0.333 0.572
U 0.667 0.333 0.856
Se 0.000 0.000 0.210
Se 0.000 0.000 0.500
Se 0.000 0.000 0.790
Se 0.333 0.667 0.638
Se 0.333 0.667 0.929
Se 0.667 0.333 0.071
Se 0.667 0.333 0.362

Top 12 peaks for 10° ≤ 2θ ≤ 80°, sorted by position:
| 2θ/deg | intensity |
| --- | --- |
| 11.07 | 20 |
| 14.78 | 12 |
| 25.69 | 17 |
| 27.80 | 15 |
| 29.53 | 100 |
| 34.03 | 36 |
| 39.57 | 22 |
| 44.80 | 43 |
| 45.85 | 32 |
| 54.57 | 18 |
| 72.27 | 21 |
| 73.19 | 16 |



6.
Structure and simulated powder diffraction line list of Tb2USe4 (a cell relaxed with GGA-PBE; Cu Kα X-rays).

Crystal structure
a = 7.058 Å, b = 7.058 Å, c = 13.740 Å
α = 90.00°, β = 90.00°, γ = 146.96°
Fractional coordinates of all 14 atoms:
Tb 0.133 0.867 0.567
Tb 0.133 0.867 0.933
Tb 0.867 0.133 0.067
Tb 0.867 0.133 0.433
U 0.379 0.621 0.750
U 0.621 0.379 0.250
Se 0.036 0.964 0.750
Se 0.226 0.774 0.125
Se 0.226 0.774 0.375
Se 0.500 0.500 0.000
Se 0.500 0.500 0.500
Se 0.774 0.226 0.625
Se 0.774 0.226 0.875
Se 0.964 0.036 0.250

Top 12 peaks for 10° ≤ 2θ ≤ 80°, sorted by position:
| 2θ/deg | intensity |
| --- | --- |
| 23.46 | 100 |
| 24.02 | 22 |
| 29.16 | 29 |
| 30.51 | 80 |
| 32.58 | 89 |
| 40.33 | 56 |
| 42.37 | 34 |
| 44.78 | 55 |
| 45.18 | 32 |
| 47.97 | 19 |
| 51.52 | 25 |
| 65.51 | 26 |



7.
Structure and simulated powder diffraction line list of Tb4Y3Se8 (a cell relaxed with GGA-PBE; Cu Kα X-rays).

Crystal structure
a = 8.153 Å, b = 8.153 Å, c = 8.153 Å
α = 119.99°, β = 119.99°, γ = 90.01°
Fractional coordinates of all 15 atoms:
Tb 0.000 0.000 0.000
Tb 0.000 0.500 0.000
Tb 0.500 0.000 0.000
Tb 0.500 0.500 0.500
Y 0.000 0.500 0.500
Y 0.500 0.000 0.500
Y 0.500 0.500 0.000
Se 0.246 0.754 0.500
Se 0.247 0.247 0.500
Se 0.247 0.247 0.993
Se 0.250 0.750 0.000
Se 0.750 0.250 0.000
Se 0.753 0.753 0.007
Se 0.753 0.753 0.500
Se 0.754 0.246 0.500

Top 12 peaks for 10° ≤ 2θ ≤ 80°, sorted by position:
| 2θ/deg | intensity |
| --- | --- |
| 13.30 | 11 |
| 15.37 | 4 |
| 21.80 | 4 |
| 25.62 | 8 |
| 26.78 | 6 |
| 31.02 | 100 |
| 33.89 | 5 |
| 40.66 | 3 |
| 44.44 | 73 |
| 55.19 | 26 |
| 64.67 | 12 |
| 73.45 | 33 |



8.
Structure and simulated powder diffraction line list of Tb6Y2Se3 (a cell relaxed with GGA-PBE; Cu Kα X-rays).

Crystal structure
a = 25.349 Å, b = 25.349 Å, c = 25.349 Å
α = 8.64°, β = 8.64°, γ = 8.64°
Fractional coordinates of all 11 atoms:
Tb 0.073 0.073 0.073
Tb 0.185 0.185 0.185
Tb 0.358 0.358 0.358
Tb 0.642 0.642 0.642
Tb 0.815 0.815 0.815
Tb 0.927 0.927 0.927
Y 0.444 0.444 0.444
Y 0.556 0.556 0.556
Se 0.000 0.000 0.000
Se 0.285 0.285 0.285
Se 0.715 0.715 0.715

Top 12 peaks for 10° ≤ 2θ ≤ 80°, sorted by position:
| 2θ/deg | intensity |
| --- | --- |
| 28.24 | 21 |
| 28.59 | 27 |
| 29.98 | 100 |
| 31.71 | 33 |
| 33.04 | 17 |
| 33.75 | 16 |
| 35.26 | 29 |
| 40.37 | 14 |
| 43.20 | 24 |
| 47.63 | 49 |
| 50.39 | 16 |
| 57.31 | 16 |



9.
Structure and simulated powder diffraction line list of Tb3Y4Se8 (a cell relaxed with GGA-PBE; Cu Kα X-rays).

Crystal structure
a = 8.152 Å, b = 8.152 Å, c = 8.151 Å
α = 119.99°, β = 119.99°, γ = 90.01°
Fractional coordinates of all 15 atoms:
Tb 0.000 0.000 0.000
Tb 0.000 0.500 0.000
Tb 0.500 0.000 0.000
Y 0.000 0.500 0.500
Y 0.500 0.000 0.500
Y 0.500 0.500 0.000
Y 0.500 0.500 0.500
Se 0.247 0.247 0.501
Se 0.247 0.247 0.994
Se 0.247 0.753 0.500
Se 0.250 0.750 0.000
Se 0.750 0.250 0.000
Se 0.753 0.247 0.500
Se 0.753 0.753 0.006
Se 0.753 0.753 0.499

Top 12 peaks for 10° ≤ 2θ ≤ 80°, sorted by position:
| 2θ/deg | intensity |
| --- | --- |
| 13.30 | 5 |
| 15.37 | 9 |
| 21.81 | 8 |
| 25.63 | 4 |
| 26.79 | 3 |
| 31.03 | 100 |
| 34.80 | 5 |
| 38.24 | 4 |
| 44.45 | 73 |
| 55.20 | 26 |
| 64.68 | 12 |
| 73.47 | 32 |



10.
Structure and simulated powder diffraction line list of Tb3Y2Se6 (a cell relaxed with GGA-PBE; Cu Kα X-rays).

Crystal structure
a = 7.050 Å, b = 7.050 Å, c = 7.042 Å
α = 99.64°, β = 99.64°, γ = 119.78°
Fractional coordinates of all 11 atoms:
Tb 0.000 0.000 0.000
Tb 0.335 0.665 0.000
Tb 0.665 0.335 0.000
Y 0.165 0.835 0.500
Y 0.835 0.165 0.500
Se 0.089 0.418 0.253
Se 0.254 0.254 0.743
Se 0.418 0.089 0.253
Se 0.582 0.911 0.747
Se 0.746 0.746 0.257
Se 0.911 0.582 0.747

Top 12 peaks for 10° ≤ 2θ ≤ 80°, sorted by position:
| 2θ/deg | intensity |
| --- | --- |
| 13.34 | 14 |
| 25.64 | 11 |
| 31.06 | 100 |
| 33.94 | 6 |
| 44.44 | 37 |
| 44.57 | 36 |
| 55.10 | 7 |
| 55.32 | 19 |
| 64.80 | 8 |
| 73.39 | 6 |
| 73.51 | 11 |
| 73.66 | 16 |



11.
Structure and simulated powder diffraction line list of Tb2Y3Se6 (a cell relaxed with GGA-PBE; Cu Kα X-rays).

Crystal structure
a = 20.262 Å, b = 20.262 Å, c = 20.262 Å
α = 11.69°, β = 11.69°, γ = 11.69°
Fractional coordinates of all 11 atoms:
Tb 0.053 0.053 0.053
Tb 0.947 0.947 0.947
Y 0.220 0.220 0.220
Y 0.500 0.500 0.500
Y 0.780 0.780 0.780
Se 0.139 0.139 0.139
Se 0.303 0.303 0.303
Se 0.418 0.418 0.418
Se 0.582 0.582 0.582
Se 0.697 0.697 0.697
Se 0.861 0.861 0.861

Top 12 peaks for 10° ≤ 2θ ≤ 80°, sorted by position:
| 2θ/deg | intensity |
| --- | --- |
| 13.20 | 16 |
| 27.62 | 12 |
| 29.84 | 100 |
| 32.55 | 24 |
| 37.89 | 8 |
| 41.49 | 11 |
| 43.89 | 49 |
| 45.33 | 30 |
| 53.97 | 18 |
| 64.93 | 10 |
| 72.01 | 15 |
| 72.66 | 18 |



12.
Structure and simulated powder diffraction line list of Tb5ZnSe4 (a cell relaxed with GGA-PBE; Cu Kα X-rays).

Crystal structure
a = 7.124 Å, b = 7.124 Å, c = 7.124 Å
α = 99.57°, β = 99.57°, γ = 131.87°
Fractional coordinates of all 10 atoms:
Tb 0.000 0.000 0.000
Tb 0.204 0.599 0.803
Tb 0.401 0.204 0.605
Tb 0.599 0.796 0.395
Tb 0.796 0.401 0.197
Zn 0.500 0.500 0.000
Se 0.097 0.303 0.400
Se 0.303 0.903 0.205
Se 0.697 0.097 0.795
Se 0.903 0.697 0.600

Top 8 peaks for 10° ≤ 2θ ≤ 80°, sorted by position:
| 2θ/deg | intensity |
| --- | --- |
| 26.55 | 22 |
| 30.75 | 100 |
| 44.04 | 74 |
| 52.16 | 11 |
| 54.67 | 26 |
| 64.04 | 12 |
| 70.59 | 4 |
| 72.71 | 33 |



13.
Structure and simulated powder diffraction line list of Tb4ZrSe5 (a cell relaxed with GGA-PBE; Cu Kα X-rays).

Crystal structure
a = 16.753 Å, b = 16.753 Å, c = 16.753 Å
α = 13.87°, β = 13.87°, γ = 13.87°
Fractional coordinates of all 10 atoms:
Tb 0.103 0.103 0.103
Tb 0.299 0.299 0.299
Tb 0.701 0.701 0.701
Tb 0.897 0.897 0.897
Zr 0.500 0.500 0.500
Se 0.000 0.000 0.000
Se 0.197 0.197 0.197
Se 0.402 0.402 0.402
Se 0.598 0.598 0.598
Se 0.803 0.803 0.803

Top 12 peaks for 10° ≤ 2θ ≤ 80°, sorted by position:
| 2θ/deg | intensity |
| --- | --- |
| 26.87 | 4 |
| 26.97 | 12 |
| 31.21 | 100 |
| 40.13 | 2 |
| 44.66 | 35 |
| 44.79 | 37 |
| 53.03 | 6 |
| 55.38 | 6 |
| 55.60 | 19 |
| 65.10 | 11 |
| 73.87 | 14 |
| 74.06 | 16 |